Starting from a GGA-PBE-relaxed structure, the PXRD pattern of BaPmPa4N8 was calculated for Cu Kα.

Cell and atoms:
```
BaPmPa4N8
1.0
3.568 2.060 5.799
-3.568 2.060 5.799
0.000 -4.120 5.799
Ba Pm Pa N
1 1 4 8
direct
0.000 0.000 0.000
0.623 0.623 0.623
0.114 0.625 0.625
0.243 0.243 0.243
0.625 0.114 0.625
0.625 0.625 0.114
0.369 0.369 0.852
0.369 0.852 0.369
0.380 0.380 0.380
0.450 0.858 0.858
0.847 0.847 0.847
0.852 0.369 0.369
0.858 0.450 0.858
0.858 0.858 0.450
```

Main lines, by angle (2θ from 15° to 90°):
| 2theta | intensity |
| --- | --- |
| 15.3 | 19 |
| 25.0 | 31 |
| 29.4 | 100 |
| 29.5 | 31 |
| 30.7 | 36 |
| 46.8 | 36 |
| 46.9 | 17 |
| 51.2 | 26 |
| 51.4 | 25 |
| 71.9 | 17 |